The following is a computed powder XRD pattern of LiMo2O4. It was derived from DFT lattice parameters and positions (PBE+U), using CuKα.
Peak positions follow from Bragg's law for the DFT cell and can differ from measured ones.

The 6 most intense peaks (2θ = 10–90°), low angle first:
two_theta, I_rel, index
17.05, 100, 1 1 0
17.20, 87, 1 1 -1
33.35, 33, 3 1 -1
33.50, 33, 1 3 -1
39.21, 33, 0 0 2
40.72, 60, 4 0 -2

Atomic structure:
a = 8.8605 Å, b = 8.8667 Å, c = 6.3436 Å
α = 90.00°, β = 133.58°, γ = 90.00°
Space group C2/c (No. 15)
Symmetry-distinct sites (fractional):
Li 0.0000 0.1309 0.2500 [4 per cell]
Mo 0.0000 0.5000 0.0000 [4 per cell]
Mo 0.2500 0.2500 0.0000 [4 per cell]
O 0.0088 0.2681 0.5287 [8 per cell]
O 0.2182 0.4954 0.9694 [8 per cell]